For KTiIn, the GGA-PBE geometry in Alexandria gives the calculated powder XRD pattern in this record (λ = 1.5418 Å (Cu Kα)).

Atomic structure:
```
data_KTiIn
_chemical_formula_sum 'K2 Ti2 In2'
_symmetry_space_group_name_H-M 'P 1'
_symmetry_Int_Tables_number 1
_cell_length_a 4.5952
_cell_length_b 4.6041
_cell_length_c 11.9971
_cell_angle_alpha 79.35
_cell_angle_beta 79.31
_cell_angle_gamma 60.07
loop_
_symmetry_equiv_pos_as_xyz
'x,y,z'
loop_
_atom_site_label
_atom_site_type_symbol
_atom_site_fract_x
_atom_site_fract_y
_atom_site_fract_z
_atom_site_occupancy
K1 K 0.0000 0.0000 0.0000 1
K2 K 0.2117 0.2096 0.3444 1
Ti1 Ti 0.1242 0.0693 0.6722 1
Ti2 Ti 0.4241 0.4679 0.6722 1
In1 In 0.7335 0.7299 0.7962 1
In2 In 0.8140 0.8092 0.5480 1
```

Top 8 peaks for 10 to 90 degrees two-theta, sorted by position:
hkl	Position (°2θ)	d/Å	intensity
0 1 0	22.5	3.960	63.6
0 1 1	22.9	3.885	38.3
1 0 3	30.3	2.947	31.5
1 0 -3	33.9	2.642	48.8
1 1 4	34.1	2.626	26.1
1 0 4	36.1	2.489	40.2
2 1 1	39.2	2.301	100.0
2 1 0	39.9	2.259	38.9

***

For KTl2In7, the GGA-PBE geometry in Alexandria gives the calculated powder XRD pattern in this record (λ = 1.5418 Å (Cu Kα)).

Atomic structure:
```
data_KTl2In7
_chemical_formula_sum 'K2 Tl4 In14'
_symmetry_space_group_name_H-M 'C m m m'
_symmetry_Int_Tables_number 65
_symmetry_space_group_name_Hall '-C 2 2'
_cell_length_a 7.0233
_cell_length_b 21.2539
_cell_length_c 4.4678
_cell_angle_alpha 90.00
_cell_angle_beta 90.00
_cell_angle_gamma 90.00
loop_
_atom_site_label
_atom_site_type_symbol
_atom_site_fract_x
_atom_site_fract_y
_atom_site_fract_z
_atom_site_occupancy
K1 K 0.0000 0.0000 0.0000 1
Tl1 Tl 0.0000 0.2605 0.5000 1
In1 In 0.0000 0.3961 0.0000 1
In2 In 0.0000 0.5000 0.5000 1
In3 In 0.2129 0.1224 0.5000 1
```

Top 8 peaks for 10 to 90 degrees two-theta, sorted by position:
hkl	Position (°2θ)	d/Å	intensity
1 1 0	13.3	6.669	21.8
0 0 1	19.9	4.468	50.0
0 2 1	21.6	4.119	21.9
2 4 0	30.5	2.930	40.2
1 5 1	31.7	2.820	45.8
0 8 0	33.7	2.657	31.4
2 4 1	36.7	2.450	100.0
0 0 2	40.4	2.235	31.9

***

For K2Tl4In3, the GGA-PBE geometry in Alexandria gives the calculated powder XRD pattern in this record (λ = 1.5418 Å (Cu Kα)).

Atomic structure:
```
data_K2Tl4In3
_chemical_formula_sum 'K8 Tl16 In12'
_symmetry_space_group_name_H-M 'C m c e'
_symmetry_Int_Tables_number 64
_symmetry_space_group_name_Hall '-C 2ac 2'
_cell_length_a 6.7628
_cell_length_b 18.3842
_cell_length_c 9.5616
_cell_angle_alpha 90.00
_cell_angle_beta 90.00
_cell_angle_gamma 90.00
loop_
_atom_site_label
_atom_site_type_symbol
_atom_site_fract_x
_atom_site_fract_y
_atom_site_fract_z
_atom_site_occupancy
K1 K 0.0000 0.1085 0.0947 1
Tl1 Tl 0.0000 0.1801 0.4799 1
Tl2 Tl 0.2500 0.0582 0.7500 1
In1 In 0.0000 0.0000 0.5000 1
In2 In 0.2500 0.2245 0.7500 1
```

Top 8 peaks for 10 to 90 degrees two-theta, sorted by position:
hkl	Position (°2θ)	d/Å	intensity
0 2 1	13.4	6.627	38.2
1 1 1	16.8	5.288	38.3
1 5 1	29.2	3.060	49.3
0 2 3	29.7	3.012	59.6
2 0 2	32.4	2.761	100.0
0 6 2	34.8	2.580	39.4
2 6 0	39.7	2.270	40.0
0 6 3	40.9	2.209	30.8

***

For KTlIn4, the GGA-PBE geometry in Alexandria gives the calculated powder XRD pattern in this record (λ = 1.5418 Å (Cu Kα)).

Atomic structure:
```
data_KTlIn4
_chemical_formula_sum 'K1 Tl1 In4'
_symmetry_space_group_name_H-M 'P 6/m m m'
_symmetry_Int_Tables_number 191
_symmetry_space_group_name_Hall '-P 6 2'
_cell_length_a 5.2460
_cell_length_b 5.2460
_cell_length_c 7.9264
_cell_angle_alpha 90.00
_cell_angle_beta 90.00
_cell_angle_gamma 120.00
loop_
_atom_site_label
_atom_site_type_symbol
_atom_site_fract_x
_atom_site_fract_y
_atom_site_fract_z
_atom_site_occupancy
K1 K 0.0000 0.0000 0.0000 1
Tl1 Tl 0.0000 0.0000 0.5000 1
In1 In 0.3333 0.6667 0.2839 1
```

Top 8 peaks for 10 to 90 degrees two-theta, sorted by position:
hkl	Position (°2θ)	d/Å	intensity
0 0 1	11.2	7.926	50.7
1 0 2	29.9	2.987	100.0
1 1 0	34.2	2.623	85.8
1 1 1	36.1	2.490	19.7
1 0 3	39.5	2.284	20.7
2 0 2	46.1	1.971	30.1
1 1 4	58.4	1.581	21.4
2 1 2	58.6	1.576	29.0

***

For K4Tl5In, the GGA-PBE geometry in Alexandria gives the calculated powder XRD pattern in this record (λ = 1.5418 Å (Cu Kα)).

Atomic structure:
```
data_K4Tl5In
_chemical_formula_sum 'K8 Tl10 In2'
_symmetry_space_group_name_H-M 'I 4'
_symmetry_Int_Tables_number 79
_cell_length_a 10.5343
_cell_length_b 10.5343
_cell_length_c 7.2690
_cell_angle_alpha 90.00
_cell_angle_beta 90.00
_cell_angle_gamma 90.00
loop_
_symmetry_equiv_pos_as_xyz
'x,y,z'
'-y,x,z'
'-x,-y,z'
'y,-x,z'
'x+1/2,y+1/2,z+1/2'
'-y+1/2,x+1/2,z+1/2'
'-x+1/2,-y+1/2,z+1/2'
'y+1/2,-x+1/2,z+1/2'
loop_
_atom_site_label
_atom_site_type_symbol
_atom_site_fract_x
_atom_site_fract_y
_atom_site_fract_z
_atom_site_occupancy
K1 K 0.0664 0.3070 0.0000 1
Tl1 Tl 0.0000 0.0000 0.7983 1
Tl2 Tl 0.0774 0.2105 0.4982 1
In1 In 0.0000 0.0000 0.2159 1
```

Top 8 peaks for 10 to 90 degrees two-theta, sorted by position:
hkl	Position (°2θ)	d/Å	intensity
1 1 0	11.9	7.449	100.0
1 0 1	14.8	5.983	68.5
2 1 1	22.5	3.953	48.3
1 3 0	26.8	3.331	65.9
3 2 1	33.0	2.711	58.9
2 2 2	34.5	2.601	48.6
3 1 2	36.6	2.456	84.1
2 4 0	38.2	2.358	56.5

***

For KTl4In2, the GGA-PBE geometry in Alexandria gives the calculated powder XRD pattern in this record (λ = 1.5418 Å (Cu Kα)).

Atomic structure:
```
data_KTl4In2
_chemical_formula_sum 'K2 Tl8 In4'
_symmetry_space_group_name_H-M 'C 1 2/m 1'
_symmetry_Int_Tables_number 12
_cell_length_a 10.4796
_cell_length_b 8.5909
_cell_length_c 6.0672
_cell_angle_alpha 90.00
_cell_angle_beta 124.81
_cell_angle_gamma 90.00
loop_
_symmetry_equiv_pos_as_xyz
'x,y,z'
'-x,-y,-z'
'-x,y,-z'
'x,-y,z'
'x+1/2,y+1/2,z'
'-x+1/2,-y+1/2,-z'
'-x+1/2,y+1/2,-z'
'x+1/2,-y+1/2,z'
loop_
_atom_site_label
_atom_site_type_symbol
_atom_site_fract_x
_atom_site_fract_y
_atom_site_fract_z
_atom_site_occupancy
K1 K 0.0000 0.0000 0.0000 1
Tl1 Tl 0.1910 0.1906 0.6911 1
In1 In 0.0015 0.5000 0.7513 1
```

Top 8 peaks for 10 to 90 degrees two-theta, sorted by position:
hkl	Position (°2θ)	d/Å	intensity
1 1 -1	17.9	4.964	43.6
2 0 0	20.7	4.299	32.3
2 2 0	29.4	3.038	100.0
3 1 0	32.9	2.720	60.8
1 3 -1	34.7	2.588	81.5
2 2 -2	36.3	2.478	51.3
3 3 -3	55.6	1.652	34.9
5 3 0	63.0	1.474	31.7

***

For K2Tl4In3, the GGA-PBE geometry in Alexandria gives the calculated powder XRD pattern in this record (λ = 1.5418 Å (Cu Kα)).

Atomic structure:
```
data_K2Tl4In3
_chemical_formula_sum 'K8 Tl16 In12'
_symmetry_space_group_name_H-M 'F m m m'
_symmetry_Int_Tables_number 69
_symmetry_space_group_name_Hall '-F 2 2'
_cell_length_a 6.2790
_cell_length_b 11.0194
_cell_length_c 16.6338
_cell_angle_alpha 90.00
_cell_angle_beta 90.00
_cell_angle_gamma 90.00
loop_
_atom_site_label
_atom_site_type_symbol
_atom_site_fract_x
_atom_site_fract_y
_atom_site_fract_z
_atom_site_occupancy
K1 K 0.0000 0.0000 0.1292 1
Tl1 Tl 0.0000 0.1628 0.3287 1
In1 In 0.0000 0.0000 0.5000 1
In2 In 0.2500 0.2500 0.0000 1
```

Top 8 peaks for 10 to 90 degrees two-theta, sorted by position:
hkl	Position (°2θ)	d/Å	intensity
0 2 0	16.1	5.510	22.5
1 1 1	17.1	5.184	32.7
2 0 0	28.4	3.140	21.8
1 1 5	31.5	2.840	20.8
0 0 6	32.3	2.772	35.7
1 3 3	32.5	2.752	100.0
2 2 2	34.6	2.592	27.0
3 3 3	53.0	1.728	25.3

***

For K2Tl3In17, the GGA-PBE geometry in Alexandria gives the calculated powder XRD pattern in this record (λ = 1.5418 Å (Cu Kα)).

Atomic structure:
```
data_K2Tl3In17
_chemical_formula_sum 'K2 Tl3 In17'
_symmetry_space_group_name_H-M 'P -1'
_symmetry_Int_Tables_number 2
_cell_length_a 7.5719
_cell_length_b 10.0073
_cell_length_c 10.0080
_cell_angle_alpha 119.31
_cell_angle_beta 92.74
_cell_angle_gamma 90.33
loop_
_symmetry_equiv_pos_as_xyz
'x,y,z'
'-x,-y,-z'
loop_
_atom_site_label
_atom_site_type_symbol
_atom_site_fract_x
_atom_site_fract_y
_atom_site_fract_z
_atom_site_occupancy
K1 K 0.2035 0.1437 0.2772 1
Tl1 Tl 0.0000 0.0000 0.5000 1
Tl2 Tl 0.0000 0.5000 0.5000 1
Tl3 Tl 0.5000 0.0000 0.0000 1
In1 In 0.0000 0.5000 0.0000 1
In2 In 0.1519 0.1473 0.8764 1
In3 In 0.1539 0.7258 0.8736 1
In4 In 0.2378 0.4860 0.2546 1
In5 In 0.2415 0.7797 0.2438 1
In6 In 0.2898 0.3496 0.7030 1
In7 In 0.2895 0.8143 0.6265 1
In8 In 0.4963 0.3462 0.0057 1
In9 In 0.5000 0.0000 0.5000 1
In10 In 0.5000 0.5000 0.5000 1
```

Top 8 peaks for 10 to 90 degrees two-theta, sorted by position:
hkl	Position (°2θ)	d/Å	intensity
1 3 -1	29.8	2.994	48.0
2 -2 0	30.8	2.905	51.5
2 2 -2	31.1	2.879	47.5
2 0 2	32.2	2.776	100.0
1 0 -3	32.4	2.765	38.1
1 -3 3	33.6	2.668	31.2
0 2 2	35.6	2.524	32.8
0 2 -4	35.9	2.500	46.2